(1)
For Ac13Sm3, DFT lattice parameters and positions (PBE) gives the theoretical X-ray powder pattern in this record (Cu Kα (λ = 1.5418 Å)).

Cell and atoms:
```
Ac13Sm3
1.0
11.194 0.000 0.000
0.000 5.524 5.551
0.000 -5.524 5.551
Ac Sm
13 3
Cartesian
0.000 0.000 0.000 Ac
0.000 2.804 8.282 Ac
0.000 -2.804 8.282 Ac
0.000 0.000 5.463 Ac
2.836 -2.792 5.505 Ac
2.831 0.000 8.296 Ac
2.836 2.792 5.505 Ac
5.597 2.823 8.264 Ac
5.597 -2.823 8.264 Ac
5.597 0.000 5.461 Ac
8.359 -2.792 5.505 Ac
8.363 0.000 8.296 Ac
8.359 2.792 5.505 Ac
2.839 0.000 2.699 Sm
5.597 0.000 11.096 Sm
8.355 0.000 2.699 Sm
```

Top 10 peaks for 10 to 90 degrees two-theta, by angle:
27.81°, I 100
31.98°, I 18
32.25°, I 17
32.41°, I 17
46.06°, I 13
46.18°, I 13
54.48°, I 16
54.83°, I 16
55.04°, I 15
57.44°, I 14

(2)
For PrNd7Dy2, DFT lattice parameters and positions (PBE) gives the theoretical X-ray powder pattern in this record (Cu Kα (λ = 1.5418 Å)).

Cell and atoms:
```
PrNd7Dy2
1.0
6.322 0.000 0.000
-1.053 6.256 0.000
-2.113 -3.562 8.747
Pr Nd Dy
1 7 2
Cartesian
0.000 0.000 0.000 Pr
-1.056 3.036 1.780 Nd
1.038 1.272 6.104 Nd
1.038 -1.950 7.860 Nd
2.104 -1.781 4.373 Nd
2.119 4.644 0.887 Nd
2.118 1.422 2.643 Nd
4.212 -0.342 6.966 Nd
-1.058 -0.177 3.517 Dy
4.214 2.871 5.230 Dy
```

Top 10 peaks for 10 to 90 degrees two-theta, by angle:
29.92°, I 100
34.69°, I 51
49.78°, I 6
49.87°, I 24
49.95°, I 6
59.18°, I 14
59.28°, I 25
62.13°, I 9
80.93°, I 7
83.57°, I 7

(3)
For ErTmPd4, DFT lattice parameters and positions (PBE) gives the theoretical X-ray powder pattern in this record (Cu Kα (λ = 1.5418 Å)).

Cell and atoms:
```
ErTmPd4
1.0
4.844 -1.806 0.000
4.844 1.806 0.000
-2.455 0.000 6.449
Er Tm Pd
1 1 4
Cartesian
0.000 0.000 0.000 Er
-1.228 0.000 3.224 Tm
2.822 0.000 1.086 Pd
1.604 0.000 4.294 Pd
5.629 0.000 2.155 Pd
4.412 0.000 5.363 Pd
```

Top 10 peaks for 10 to 90 degrees two-theta, by angle:
36.00°, I 100
38.89°, I 81
39.68°, I 76
50.54°, I 19
53.09°, I 16
66.10°, I 33
67.73°, I 31
73.32°, I 25
76.34°, I 11
85.43°, I 13